(1)
For LiTiSiO4, a structure optimized by DFT (PBE) gives the theoretical powder diffraction line list in this record (Cu Kα, 1.54184 Å).
No peak broadening, texture or thermal motion is included.

Most intense lines, 15 to 90 degrees two-theta, sorted by position:
18.9 deg, intensity 36
24.1 deg, intensity 38
25.9 deg, intensity 25
31.6 deg, intensity 44
35.6 deg, intensity 100
35.8 deg, intensity 41
44.0 deg, intensity 26
49.3 deg, intensity 24
63.3 deg, intensity 42
65.9 deg, intensity 23

Structure:
Cell lengths 5.067, 5.067, 5.980 Å; angles 90.00, 90.00, 112.00 degrees
Fractional coordinates of all 14 atoms:
Li 0.163 0.837 0.750
Li 0.837 0.163 0.250
Ti 0.500 0.500 0.000
Ti 0.500 0.500 0.500
Si 0.152 0.848 0.250
Si 0.848 0.152 0.750
O 0.204 0.259 0.750
O 0.259 0.204 0.250
O 0.266 0.734 0.030
O 0.266 0.734 0.470
O 0.734 0.266 0.530
O 0.734 0.266 0.970
O 0.741 0.796 0.750
O 0.796 0.741 0.250


(2)
For Mg3Ir, a structure optimized by DFT (PBE) gives the theoretical powder diffraction line list in this record (Cu Kα, 1.54184 Å).
No peak broadening, texture or thermal motion is included.

Most intense lines, 15 to 90 degrees two-theta, sorted by position:
21.5 deg, intensity 38
22.4 deg, intensity 27
24.9 deg, intensity 100
39.4 deg, intensity 48
39.9 deg, intensity 60
45.3 deg, intensity 35
47.2 deg, intensity 20
57.3 deg, intensity 19
63.1 deg, intensity 17
71.7 deg, intensity 18

Structure:
Cell lengths 7.926, 7.926, 8.256 Å; angles 90.00, 90.00, 120.00 degrees
Fractional coordinates of all 24 atoms:
Mg 0.000 0.000 0.000
Mg 0.000 0.000 0.500
Mg 0.000 0.286 0.266
Mg 0.000 0.371 0.607
Mg 0.000 0.629 0.107
Mg 0.000 0.714 0.766
Mg 0.286 0.000 0.266
Mg 0.286 0.286 0.766
Mg 0.333 0.667 0.391
Mg 0.333 0.667 0.891
Mg 0.371 0.000 0.607
Mg 0.371 0.371 0.107
Mg 0.629 0.000 0.107
Mg 0.629 0.629 0.607
Mg 0.667 0.333 0.391
Mg 0.667 0.333 0.891
Mg 0.714 0.000 0.766
Mg 0.714 0.714 0.266
Ir 0.000 0.328 0.936
Ir 0.000 0.672 0.436
Ir 0.328 0.000 0.936
Ir 0.328 0.328 0.436
Ir 0.672 0.000 0.436
Ir 0.672 0.672 0.936


(3)
For GdNi5, a structure optimized by DFT (PBE) gives the theoretical powder diffraction line list in this record (Cu Kα, 1.54184 Å).
No peak broadening, texture or thermal motion is included.

Most intense lines, 15 to 90 degrees two-theta, sorted by position:
31.0 deg, intensity 50
36.8 deg, intensity 32
42.8 deg, intensity 35
43.6 deg, intensity 100
46.0 deg, intensity 27
60.3 deg, intensity 15
64.6 deg, intensity 20
71.0 deg, intensity 22
78.4 deg, intensity 15
83.5 deg, intensity 14

Structure:
Cell lengths 4.881, 4.881, 3.946 Å; angles 90.00, 90.00, 120.00 degrees
Fractional coordinates of all 6 atoms:
Gd 0.000 0.000 0.000
Ni 0.000 0.500 0.500
Ni 0.333 0.667 0.000
Ni 0.500 0.000 0.500
Ni 0.500 0.500 0.500
Ni 0.667 0.333 0.000


(4)
For Sr11C2N10, a structure optimized by DFT (PBE) gives the theoretical powder diffraction line list in this record (Cu Kα, 1.54184 Å).
No peak broadening, texture or thermal motion is included.

Most intense lines, 15 to 90 degrees two-theta, sorted by position:
28.1 deg, intensity 51
29.4 deg, intensity 77
31.0 deg, intensity 100
32.7 deg, intensity 38
33.7 deg, intensity 32
37.1 deg, intensity 22
46.7 deg, intensity 20
47.6 deg, intensity 39
56.2 deg, intensity 25
58.2 deg, intensity 21

Structure:
Cell lengths 15.507, 15.507, 3.888 Å; angles 90.00, 90.00, 90.00 degrees
Fractional coordinates of all 46 atoms:
Sr 0.000 0.000 0.000
Sr 0.020 0.205 0.500
Sr 0.111 0.618 0.500
Sr 0.118 0.389 0.000
Sr 0.171 0.829 0.000
Sr 0.205 0.020 0.500
Sr 0.295 0.520 0.000
Sr 0.329 0.329 0.500
Sr 0.382 0.889 0.500
Sr 0.389 0.118 0.000
Sr 0.480 0.705 0.000
Sr 0.500 0.500 0.500
Sr 0.520 0.295 0.000
Sr 0.611 0.882 0.000
Sr 0.618 0.111 0.500
Sr 0.671 0.671 0.500
Sr 0.705 0.480 0.000
Sr 0.795 0.980 0.500
Sr 0.829 0.171 0.000
Sr 0.882 0.611 0.000
Sr 0.889 0.382 0.500
Sr 0.980 0.795 0.500
C 0.182 0.182 0.000
C 0.318 0.682 0.500
C 0.682 0.318 0.500
C 0.818 0.818 0.000
N 0.032 0.690 0.000
N 0.091 0.909 0.500
N 0.125 0.125 0.000
N 0.190 0.468 0.500
N 0.238 0.238 0.000
N 0.262 0.738 0.500
N 0.310 0.968 0.000
N 0.375 0.625 0.500
N 0.409 0.409 0.000
N 0.468 0.190 0.500
N 0.532 0.810 0.500
N 0.591 0.591 0.000
N 0.625 0.375 0.500
N 0.690 0.032 0.000
N 0.738 0.262 0.500
N 0.762 0.762 0.000
N 0.810 0.532 0.500
N 0.875 0.875 0.000
N 0.909 0.091 0.500
N 0.968 0.310 0.000


(5)
For Tm3PbC, a structure optimized by DFT (PBE) gives the theoretical powder diffraction line list in this record (Cu Kα, 1.54184 Å).
No peak broadening, texture or thermal motion is included.

Most intense lines, 15 to 90 degrees two-theta, sorted by position:
26.1 deg, intensity 1
32.1 deg, intensity 100
37.2 deg, intensity 54
46.0 deg, intensity 1
53.6 deg, intensity 38
63.8 deg, intensity 43
67.0 deg, intensity 13
79.2 deg, intensity 6
88.0 deg, intensity 19

Structure:
Cell lengths 4.837, 4.837, 4.837 Å; angles 90.00, 90.00, 90.00 degrees
Fractional coordinates of all 5 atoms:
Tm 0.000 0.000 0.500
Tm 0.000 0.500 0.000
Tm 0.500 0.000 0.000
Pb 0.500 0.500 0.500
C 0.000 0.000 0.000


(6)
For ZrV2Ga4, a structure optimized by DFT (PBE) gives the theoretical powder diffraction line list in this record (Cu Kα, 1.54184 Å).
No peak broadening, texture or thermal motion is included.

Most intense lines, 15 to 90 degrees two-theta, sorted by position:
34.4 deg, intensity 39
35.4 deg, intensity 100
39.3 deg, intensity 93
39.8 deg, intensity 63
44.6 deg, intensity 51
45.4 deg, intensity 100
69.4 deg, intensity 27
71.5 deg, intensity 33
82.1 deg, intensity 30
84.8 deg, intensity 21

Structure:
Cell lengths 6.491, 6.491, 5.208 Å; angles 90.00, 90.00, 90.00 degrees
Fractional coordinates of all 14 atoms:
Zr 0.000 0.000 0.000
Zr 0.500 0.500 0.500
V 0.000 0.500 0.250
V 0.000 0.500 0.750
V 0.500 0.000 0.250
V 0.500 0.000 0.750
Ga 0.197 0.197 0.500
Ga 0.197 0.803 0.500
Ga 0.303 0.303 0.000
Ga 0.303 0.697 0.000
Ga 0.697 0.303 0.000
Ga 0.697 0.697 0.000
Ga 0.803 0.197 0.500
Ga 0.803 0.803 0.500


Please write out number 5 again, unchanged.
For Tm3PbC, a structure optimized by DFT (PBE) gives the theoretical powder diffraction line list in this record (Cu Kα, 1.54184 Å).
No peak broadening, texture or thermal motion is included.

Most intense lines, 15 to 90 degrees two-theta, sorted by position:
26.1 deg, intensity 1
32.1 deg, intensity 100
37.2 deg, intensity 54
46.0 deg, intensity 1
53.6 deg, intensity 38
63.8 deg, intensity 43
67.0 deg, intensity 13
79.2 deg, intensity 6
88.0 deg, intensity 19

Structure:
Cell lengths 4.837, 4.837, 4.837 Å; angles 90.00, 90.00, 90.00 degrees
Fractional coordinates of all 5 atoms:
Tm 0.000 0.000 0.500
Tm 0.000 0.500 0.000
Tm 0.500 0.000 0.000
Pb 0.500 0.500 0.500
C 0.000 0.000 0.000